Calculated PXRD pattern of Na2ReH5 for Cu Kα X-rays, from a crystal structure in Alexandria, relaxed with GGA-PBE.
Neutral-atom scattering factors, no anomalous dispersion.

Principal peaks in the range 10° ≤ 2θ ≤ 80°, in order of rising 2θ:
| (hkl) | d (Å) | I_rel |
| --- | --- | --- |
| 0 0 1 | 4.743 | 99 |
| 0 1 1 | 4.728 | 55 |
| 0 1 -1 | 2.740 | 51 |
| 0 2 1 | 2.727 | 24 |
| 1 1 0 | 2.496 | 100 |
| 0 2 0 | 2.365 | 18 |
| 1 1 2 | 2.003 | 16 |
| 1 0 2 | 1.847 | 13 |
| 1 2 2 | 1.843 | 20 |
| 1 2 -1 | 1.531 | 19 |

Atomic structure:
a b c (Å): 2.936 5.454 5.477
angles (deg): 60.21 89.92 89.89
Space group P1 (No. 1)
Unique sites:
Na  0.000  0.000  0.000 [1 per cell]
Na  0.000  0.318  0.321 [1 per cell]
Re  0.500  0.694  0.698 [1 per cell]
H  0.001  0.576  0.582 [1 per cell]
H  0.500  0.023  0.667 [1 per cell]
H  0.500  0.339  0.948 [1 per cell]
H  0.500  0.666  0.024 [1 per cell]
H  0.500  0.943  0.343 [1 per cell]

Calculated PXRD pattern of TiMoN3 for Cu Kα X-rays, from a crystal structure in Alexandria, relaxed with GGA-PBE.
Neutral-atom scattering factors, no anomalous dispersion.

Principal peaks in the range 10° ≤ 2θ ≤ 80°, in order of rising 2θ:
| (hkl) | d (Å) | I_rel |
| --- | --- | --- |
| 0 0 1 | 6.532 | 41 |
| 0 0 2 | 3.266 | 28 |
| 1 0 0 | 2.542 | 11 |
| 0 1 1 | 2.369 | 100 |
| 1 0 2 | 2.006 | 46 |
| 0 1 3 | 1.654 | 27 |
| 1 1 0 | 1.468 | 20 |
| 1 0 4 | 1.374 | 15 |
| 1 1 2 | 1.339 | 12 |
| 2 0 1 | 1.248 | 12 |

Atomic structure:
a b c (Å): 2.9357 2.9357 6.5322
angles (deg): 90.00 90.00 120.00
Space group P3m1 (No. 156)
Unique sites:
Ti  0.0000  0.0000  0.0000 [1 per cell]
Mo  0.3333  0.6667  0.4118 [1 per cell]
N  0.6667  0.3333  0.2115 [1 per cell]
N  0.6667  0.3333  0.6081 [1 per cell]
N  0.6667  0.3333  0.8155 [1 per cell]